[1]
# Ga4NiRh3
Computed X-ray powder pattern, CuKα. Input: a PBE-relaxed structure.

The 10 most intense peaks (15° ≤ 2θ ≤ 90°), in order of falling intensity:
hkl 2 2 0, 41.6 deg, 2.172 Å, I = 1000; hkl 0 2 4, 41.8 deg, 2.162 Å, I = 982; hkl 2 0 4, 44.0 deg, 2.058 Å, I = 843; hkl 2 4 4, 74.4 deg, 1.275 Å, I = 337; hkl 4 2 4, 79.1 deg, 1.211 Å, I = 284; hkl 2 2 8, 79.5 deg, 1.205 Å, I = 279; hkl 0 4 0, 56.7 deg, 1.624 Å, I = 196; hkl 4 0 0, 63.7 deg, 1.461 Å, I = 136; hkl 0 0 8, 64.3 deg, 1.449 Å, I = 130; hkl 1 1 3, 31.0 deg, 2.887 Å, I = 32

Cell and atoms:
```
data_Ga4NiRh3
_chemical_formula_sum 'Ga16 Ni4 Rh12'
_space_group_name_H-M_alt 'F m m m'
_space_group_IT_number 69
_space_group_name_Hall '-F 2 2'
_cell_length_a 5.8438
_cell_length_b 6.4950
_cell_length_c 11.5919
_cell_angle_alpha 90.00
_cell_angle_beta 90.00
_cell_angle_gamma 90.00
loop_
_atom_site_label
_atom_site_type_symbol
_atom_site_fract_x
_atom_site_fract_y
_atom_site_fract_z
Ga1 Ga 0.2500 0.2500 0.1234
Ni1 Ni 0.0000 0.0000 0.0000
Rh1 Rh 0.0000 0.0000 0.2458
Rh2 Rh 0.0000 0.0000 0.5000
```



[2]
# Al3SiI
Computed X-ray powder pattern, CuKα. Input: a PBE-relaxed structure.

The 10 most intense peaks (15° ≤ 2θ ≤ 90°), in order of falling intensity:
hkl 1 1 0, 24.9 deg, 3.571 Å, I = 1000; hkl 1 1 1, 30.7 deg, 2.916 Å, I = 765; hkl 2 0 0, 35.6 deg, 2.525 Å, I = 670; hkl 2 2 0, 51.2 deg, 1.785 Å, I = 461; hkl 2 1 1, 43.9 deg, 2.062 Å, I = 425; hkl 3 1 1, 60.8 deg, 1.523 Å, I = 315; hkl 1 0 0, 17.6 deg, 5.050 Å, I = 310; hkl 3 2 1, 69.7 deg, 1.350 Å, I = 213; hkl 4 2 0, 86.1 deg, 1.129 Å, I = 210; hkl 3 1 0, 57.7 deg, 1.597 Å, I = 187

Cell and atoms:
```
data_Al3SiI
_chemical_formula_sum 'Al3 Si1 I1'
_space_group_name_H-M_alt 'P m -3 m'
_space_group_IT_number 221
_space_group_name_Hall '-P 4 2 3'
_cell_length_a 5.0498
_cell_length_b 5.0498
_cell_length_c 5.0498
_cell_angle_alpha 90.00
_cell_angle_beta 90.00
_cell_angle_gamma 90.00
loop_
_atom_site_label
_atom_site_type_symbol
_atom_site_fract_x
_atom_site_fract_y
_atom_site_fract_z
Al1 Al 0.0000 0.0000 0.5000
Si1 Si 0.0000 0.0000 0.0000
I1 I 0.5000 0.5000 0.5000
```



[3]
# Dy2P3Rh5
Computed X-ray powder pattern, CuKα. Input: a PBE-relaxed structure.

The 10 most intense peaks (15° ≤ 2θ ≤ 90°), in order of falling intensity:
hkl 1 7 1, 36.9 deg, 2.435 Å, I = 1000; hkl 1 3 2, 37.2 deg, 2.417 Å, I = 797; hkl 2 0 0, 45.0 deg, 2.016 Å, I = 428; hkl 0 10 1, 39.7 deg, 2.271 Å, I = 329; hkl 0 4 3, 44.3 deg, 2.044 Å, I = 326; hkl 1 1 2, 35.6 deg, 2.519 Å, I = 321; hkl 0 6 2, 35.4 deg, 2.535 Å, I = 243; hkl 1 9 0, 40.3 deg, 2.239 Å, I = 235; hkl 2 10 1, 61.5 deg, 1.507 Å, I = 187; hkl 1 13 3, 70.6 deg, 1.334 Å, I = 161

Cell and atoms:
```
data_Dy2P3Rh5
_chemical_formula_sum 'Dy8 P12 Rh20'
_space_group_name_H-M_alt 'C m c 21'
_space_group_IT_number 36
_cell_length_a 4.0313
_cell_length_b 24.2277
_cell_length_c 6.5122
_cell_angle_alpha 90.00
_cell_angle_beta 90.00
_cell_angle_gamma 90.00
loop_
_space_group_symop_operation_xyz
'x,y,z'
'-x,-y,z+1/2'
'-x,y,z'
'x,-y,z+1/2'
'x+1/2,y+1/2,z'
'-x+1/2,-y+1/2,z+1/2'
'-x+1/2,y+1/2,z'
'x+1/2,-y+1/2,z+1/2'
loop_
_atom_site_label
_atom_site_type_symbol
_atom_site_fract_x
_atom_site_fract_y
_atom_site_fract_z
Dy1 Dy 0.0000 0.0212 0.0000
Dy2 Dy 0.0000 0.3233 0.9584
P1 P 0.0000 0.1106 0.2550
P2 P 0.0000 0.2797 0.4017
P3 P 0.0000 0.4522 0.2076
Rh1 Rh 0.0000 0.0959 0.6257
Rh2 Rh 0.0000 0.1968 0.1112
Rh3 Rh 0.0000 0.2277 0.7092
Rh4 Rh 0.0000 0.3780 0.4510
Rh5 Rh 0.0000 0.4409 0.8365
```



[4]
# La4TaHg
Computed X-ray powder pattern, CuKα. Input: a PBE-relaxed structure.

The 10 most intense peaks (15° ≤ 2θ ≤ 90°), in order of falling intensity:
hkl 3 1 1, 33.0 deg, 2.711 Å, I = 1000; hkl 2 2 0, 28.1 deg, 3.179 Å, I = 371; hkl 5 1 1, 52.9 deg, 1.731 Å, I = 355; hkl 2 2 2, 34.6 deg, 2.596 Å, I = 302; hkl 4 4 0, 58.0 deg, 1.590 Å, I = 293; hkl 5 5 3, 82.4 deg, 1.171 Å, I = 225; hkl 4 2 2, 49.7 deg, 1.836 Å, I = 159; hkl 5 3 3, 68.4 deg, 1.371 Å, I = 123; hkl 6 2 2, 69.3 deg, 1.356 Å, I = 118; hkl 6 4 2, 79.8 deg, 1.202 Å, I = 82

Cell and atoms:
```
data_La4TaHg
_chemical_formula_sum 'La16 Ta4 Hg4'
_space_group_name_H-M_alt 'F -4 3 m'
_space_group_IT_number 216
_space_group_name_Hall 'F -4 2 3'
_cell_length_a 8.9924
_cell_length_b 8.9924
_cell_length_c 8.9924
_cell_angle_alpha 90.00
_cell_angle_beta 90.00
_cell_angle_gamma 90.00
loop_
_atom_site_label
_atom_site_type_symbol
_atom_site_fract_x
_atom_site_fract_y
_atom_site_fract_z
La1 La 0.1238 0.1238 0.1238
Ta1 Ta 0.2500 0.2500 0.7500
Hg1 Hg 0.0000 0.0000 0.5000
```



[5]
# BaSrCaMgSi2O8
Computed X-ray powder pattern, CuKα. Input: a PBE-relaxed structure.

The 10 most intense peaks (15° ≤ 2θ ≤ 90°), in order of falling intensity:
hkl 1 1 0, 32.4 deg, 2.765 Å, I = 1000; hkl 1 0 2, 31.7 deg, 2.821 Å, I = 779; hkl 0 1 1, 22.5 deg, 3.949 Å, I = 572; hkl 0 2 2, 46.0 deg, 1.975 Å, I = 504; hkl 2 0 1, 39.8 deg, 2.265 Å, I = 335; hkl 2 1 2, 57.3 deg, 1.607 Å, I = 280; hkl 1 1 3, 51.3 deg, 1.780 Å, I = 199; hkl 0 0 3, 38.7 deg, 2.327 Å, I = 194; hkl 2 2 0, 67.8 deg, 1.383 Å, I = 184; hkl 3 0 0, 57.7 deg, 1.597 Å, I = 180

Cell and atoms:
```
data_BaSrCaMgSi2O8
_chemical_formula_sum 'Ba1 Sr1 Ca1 Mg1 Si2 O8'
_space_group_name_H-M_alt 'P 3 m 1'
_space_group_IT_number 156
_cell_length_a 5.5306
_cell_length_b 5.5306
_cell_length_c 6.9803
_cell_angle_alpha 90.00
_cell_angle_beta 90.00
_cell_angle_gamma 120.00
loop_
_space_group_symop_operation_xyz
'x,y,z'
'-y,x-y,z'
'-x+y,-x,z'
'-y,-x,z'
'-x+y,y,z'
'x,x-y,z'
loop_
_atom_site_label
_atom_site_type_symbol
_atom_site_fract_x
_atom_site_fract_y
_atom_site_fract_z
Ba1 Ba 0.0000 0.0000 0.0000
Sr1 Sr 0.3333 0.6667 0.3424
Ca1 Ca 0.6667 0.3333 0.6681
Mg1 Mg 0.0000 0.0000 0.5007
Si1 Si 0.3333 0.6667 0.7730
Si2 Si 0.6667 0.3333 0.2273
O1 O 0.1748 0.3496 0.6781
O2 O 0.3333 0.6667 0.0038
O3 O 0.3505 0.1753 0.3228
O4 O 0.6667 0.3333 0.9933
```



[6]
# InIrSe3
Computed X-ray powder pattern, CuKα. Input: a PBE-relaxed structure.

The 10 most intense peaks (15° ≤ 2θ ≤ 90°), in order of falling intensity:
hkl 1 3 1, 32.9 deg, 2.723 Å, I = 1000; hkl 2 0 -2, 31.4 deg, 2.846 Å, I = 525; hkl 3 3 -1, 46.8 deg, 1.940 Å, I = 338; hkl 1 1 0, 16.0 deg, 5.530 Å, I = 328; hkl 1 3 -3, 45.4 deg, 1.996 Å, I = 323; hkl 1 3 2, 42.5 deg, 2.125 Å, I = 239; hkl 1 3 0, 27.4 deg, 3.251 Å, I = 178; hkl 0 6 0, 48.0 deg, 1.895 Å, I = 175; hkl 2 6 -2, 58.5 deg, 1.577 Å, I = 169; hkl 2 0 2, 46.4 deg, 1.957 Å, I = 164

Cell and atoms:
```
data_InIrSe3
_chemical_formula_sum 'In4 Ir4 Se12'
_space_group_name_H-M_alt 'C 1 2/m 1'
_space_group_IT_number 12
_cell_length_a 6.7787
_cell_length_b 11.3686
_cell_length_c 7.0467
_cell_angle_alpha 90.00
_cell_angle_beta 110.99
_cell_angle_gamma 90.00
loop_
_space_group_symop_operation_xyz
'x,y,z'
'-x,-y,-z'
'-x,y,-z'
'x,-y,z'
'x+1/2,y+1/2,z'
'-x+1/2,-y+1/2,-z'
'-x+1/2,y+1/2,-z'
'x+1/2,-y+1/2,z'
loop_
_atom_site_label
_atom_site_type_symbol
_atom_site_fract_x
_atom_site_fract_y
_atom_site_fract_z
In1 In 0.0000 0.0000 0.0000
In2 In 0.0000 0.5000 0.5000
Ir1 Ir 0.0000 0.1636 0.5000
Se1 Se 0.2024 0.0000 0.7134
Se2 Se 0.2380 0.1765 0.2962
```



[7]
# Rb12Na6Tl
Computed X-ray powder pattern, CuKα. Input: a PBE-relaxed structure.

The 10 most intense peaks (15° ≤ 2θ ≤ 90°), in order of falling intensity:
hkl 0 3 3, 25.0 deg, 3.566 Å, I = 1000; hkl 2 1 1, 19.9 deg, 4.463 Å, I = 408; hkl 0 2 10, 41.4 deg, 2.181 Å, I = 351; hkl 2 0 2, 16.6 deg, 5.350 Å, I = 321; hkl 0 3 6, 32.0 deg, 2.796 Å, I = 294; hkl 3 2 7, 42.5 deg, 2.128 Å, I = 280; hkl 2 1 4, 24.8 deg, 3.590 Å, I = 255; hkl 3 3 0, 38.9 deg, 2.315 Å, I = 205; hkl 0 0 6, 22.8 deg, 3.902 Å, I = 183; hkl 2 2 0, 25.7 deg, 3.473 Å, I = 147

Cell and atoms:
```
data_Rb12Na6Tl
_chemical_formula_sum 'Rb36 Na18 Tl3'
_space_group_name_H-M_alt 'R -3 m'
_space_group_IT_number 166
_space_group_name_Hall '-R 3 2"'
_cell_length_a 13.8900
_cell_length_b 13.8900
_cell_length_c 23.4093
_cell_angle_alpha 90.00
_cell_angle_beta 90.00
_cell_angle_gamma 120.00
loop_
_atom_site_label
_atom_site_type_symbol
_atom_site_fract_x
_atom_site_fract_y
_atom_site_fract_z
Rb1 Rb 0.0638 0.5319 0.4014
Rb2 Rb 0.1009 0.5505 0.0904
Na1 Na 0.0933 0.1866 0.1019
Tl1 Tl 0.0000 0.0000 0.0000
```



[8]
# Pr2Si2Cl
Computed X-ray powder pattern, CuKα. Input: a PBE-relaxed structure.

The 10 most intense peaks (15° ≤ 2θ ≤ 90°), in order of falling intensity:
hkl 2 3 1, 35.9 deg, 2.505 Å, I = 1000; hkl 2 4 0, 31.1 deg, 2.872 Å, I = 679; hkl 0 1 1, 23.1 deg, 3.847 Å, I = 557; hkl 0 7 1, 44.8 deg, 2.025 Å, I = 336; hkl 2 1 1, 32.3 deg, 2.773 Å, I = 290; hkl 0 4 0, 21.5 deg, 4.125 Å, I = 287; hkl 0 3 1, 27.8 deg, 3.211 Å, I = 280; hkl 2 0 0, 22.2 deg, 4.002 Å, I = 264; hkl 2 4 2, 56.5 deg, 1.629 Å, I = 242; hkl 4 7 1, 65.6 deg, 1.423 Å, I = 211

Cell and atoms:
```
data_Pr2Si2Cl
_chemical_formula_sum 'Pr8 Si8 Cl4'
_space_group_name_H-M_alt 'I m m a'
_space_group_IT_number 74
_space_group_name_Hall '-I 2b 2'
_cell_length_a 8.0042
_cell_length_b 16.5009
_cell_length_c 3.9557
_cell_angle_alpha 90.00
_cell_angle_beta 90.00
_cell_angle_gamma 90.00
loop_
_atom_site_label
_atom_site_type_symbol
_atom_site_fract_x
_atom_site_fract_y
_atom_site_fract_z
Pr1 Pr 0.2500 0.1068 0.2500
Si1 Si 0.0000 0.0416 0.7500
Cl1 Cl 0.0000 0.2500 0.2488
```



[9]
# Te2PtBr
Computed X-ray powder pattern, CuKα. Input: a PBE-relaxed structure.

The 10 most intense peaks (15° ≤ 2θ ≤ 90°), in order of falling intensity:
hkl 1 1 2, 30.3 deg, 2.951 Å, I = 1000; hkl 1 0 -1, 30.1 deg, 2.965 Å, I = 996; hkl 0 1 -1, 29.2 deg, 3.055 Å, I = 947; hkl 1 -1 0, 44.2 deg, 2.050 Å, I = 782; hkl 2 1 1, 44.4 deg, 2.041 Å, I = 395; hkl 0 1 -2, 37.1 deg, 2.420 Å, I = 277; hkl 0 1 3, 42.1 deg, 2.145 Å, I = 269; hkl 1 0 3, 41.0 deg, 2.204 Å, I = 227; hkl 1 1 -2, 40.8 deg, 2.213 Å, I = 220; hkl 1 0 -2, 38.4 deg, 2.345 Å, I = 219

Cell and atoms:
```
data_Te2PtBr
_chemical_formula_sum 'Te2 Pt1 Br1'
_space_group_name_H-M_alt 'P -1'
_space_group_IT_number 2
_cell_length_a 4.0830
_cell_length_b 4.1022
_cell_length_c 7.7229
_cell_angle_alpha 76.90
_cell_angle_beta 74.99
_cell_angle_gamma 60.20
loop_
_space_group_symop_operation_xyz
'x,y,z'
'-x,-y,-z'
loop_
_atom_site_label
_atom_site_type_symbol
_atom_site_fract_x
_atom_site_fract_y
_atom_site_fract_z
Te1 Te 0.2356 0.2027 0.3210
Pt1 Pt 0.5000 0.5000 0.5000
Br1 Br 0.0000 0.0000 0.0000
```



[10]
# KLa7Cu4O16
Computed X-ray powder pattern, CuKα. Input: a PBE-relaxed structure.

The 10 most intense peaks (15° ≤ 2θ ≤ 90°), in order of falling intensity:
hkl 1 1 6, 31.1 deg, 2.871 Å, I = 1000; hkl 2 0 0, 33.1 deg, 2.703 Å, I = 662; hkl 3 1 6, 58.0 deg, 1.591 Å, I = 349; hkl 2 2 0, 47.6 deg, 1.911 Å, I = 334; hkl 2 0 8, 43.5 deg, 2.081 Å, I = 244; hkl 1 1 10, 41.9 deg, 2.156 Å, I = 194; hkl 2 0 12, 54.1 deg, 1.695 Å, I = 173; hkl 1 1 2, 24.3 deg, 3.668 Å, I = 171; hkl 1 1 22, 85.7 deg, 1.133 Å, I = 150; hkl 0 0 12, 41.5 deg, 2.175 Å, I = 123

Cell and atoms:
```
data_KLa7Cu4O16
_chemical_formula_sum 'K2 La14 Cu8 O32'
_space_group_name_H-M_alt 'I 4 m m'
_space_group_IT_number 107
_space_group_name_Hall 'I 4 -2'
_cell_length_a 5.4058
_cell_length_b 5.4058
_cell_length_c 26.1017
_cell_angle_alpha 90.00
_cell_angle_beta 90.00
_cell_angle_gamma 90.00
loop_
_atom_site_label
_atom_site_type_symbol
_atom_site_fract_x
_atom_site_fract_y
_atom_site_fract_z
K1 K 0.0000 0.0000 0.0000
La1 La 0.0000 0.0000 0.3570
La2 La 0.0000 0.0000 0.4972
La3 La 0.0000 0.0000 0.8603
La4 La 0.0000 0.5000 0.1057
La5 La 0.0000 0.5000 0.2467
Cu1 Cu 0.0000 0.0000 0.1779
Cu2 Cu 0.0000 0.0000 0.6789
Cu3 Cu 0.0000 0.5000 0.4300
O1 O 0.0000 0.0000 0.1010
O2 O 0.0000 0.0000 0.2625
O3 O 0.0000 0.0000 0.5864
O4 O 0.0000 0.0000 0.7694
O5 O 0.0000 0.5000 0.0203
O6 O 0.0000 0.5000 0.3346
O7 O 0.2418 0.2418 0.4227
O8 O 0.2460 0.2460 0.6789
```



[11]
# Ag2Cl4F
Computed X-ray powder pattern, CuKα. Input: a PBE-relaxed structure.

The 10 most intense peaks (15° ≤ 2θ ≤ 90°), in order of falling intensity:
hkl 0 0 2, 25.8 deg, 3.450 Å, I = 1000; hkl 2 -2 0, 30.2 deg, 2.955 Å, I = 334; hkl 2 2 0, 47.7 deg, 1.907 Å, I = 267; hkl 2 1 -1, 30.9 deg, 2.897 Å, I = 261; hkl 0 1 -2, 22.5 deg, 3.948 Å, I = 224; hkl 2 2 -2, 39.4 deg, 2.288 Å, I = 223; hkl 0 0 4, 53.1 deg, 1.726 Å, I = 173; hkl 4 0 -2, 50.4 deg, 1.809 Å, I = 166; hkl 0 1 1, 23.3 deg, 3.819 Å, I = 158; hkl 2 1 -2, 31.1 deg, 2.879 Å, I = 154

Cell and atoms:
```
data_Ag2Cl4F
_chemical_formula_sum 'Ag4 Cl8 F2'
_space_group_name_H-M_alt 'P 1'
_space_group_IT_number 1
_cell_length_a 7.4822
_cell_length_b 7.4835
_cell_length_c 8.2878
_cell_angle_alpha 112.15
_cell_angle_beta 107.32
_cell_angle_gamma 104.61
loop_
_space_group_symop_operation_xyz
'x,y,z'
loop_
_atom_site_label
_atom_site_type_symbol
_atom_site_fract_x
_atom_site_fract_y
_atom_site_fract_z
Ag1 Ag 0.0000 0.0000 0.0000
Ag2 Ag 0.0094 0.5090 0.5001
Ag3 Ag 0.0236 0.9912 0.4925
Ag4 Ag 0.5102 0.9784 0.9924
Cl1 Cl 0.1981 0.7811 0.9833
Cl2 Cl 0.2116 0.2941 0.4833
Cl3 Cl 0.2642 0.8025 0.5125
Cl4 Cl 0.3321 0.2219 0.9991
Cl5 Cl 0.7188 0.7577 0.0122
Cl6 Cl 0.7867 0.1760 0.4993
Cl7 Cl 0.7983 0.7158 0.5214
Cl8 Cl 0.8146 0.2325 0.0215
F1 F 0.2657 0.4422 0.0003
F2 F 0.5673 0.2428 0.5009
```



[12]
# FeCl3
Computed X-ray powder pattern, CuKα. Input: a PBE-relaxed structure.

The 10 most intense peaks (15° ≤ 2θ ≤ 90°), in order of falling intensity:
hkl 0 1 -1, 17.2 deg, 5.150 Å, I = 1000; hkl 0 0 2, 17.5 deg, 5.075 Å, I = 906; hkl 1 1 -1, 28.6 deg, 3.123 Å, I = 625; hkl 1 0 2, 29.0 deg, 3.079 Å, I = 575; hkl 1 0 0, 24.2 deg, 3.680 Å, I = 574; hkl 0 0 3, 26.3 deg, 3.386 Å, I = 537; hkl 1 -1 1, 31.0 deg, 2.884 Å, I = 363; hkl 2 1 1, 48.7 deg, 1.868 Å, I = 332; hkl 0 2 -1, 29.3 deg, 3.050 Å, I = 281; hkl 0 1 2, 18.9 deg, 4.684 Å, I = 280

Cell and atoms:
```
data_FeCl3
_chemical_formula_sum 'Fe2 Cl6'
_space_group_name_H-M_alt 'P 1'
_space_group_IT_number 1
_cell_length_a 3.7515
_cell_length_b 7.2593
_cell_length_c 10.5451
_cell_angle_alpha 74.74
_cell_angle_beta 83.60
_cell_angle_gamma 79.47
loop_
_space_group_symop_operation_xyz
'x,y,z'
loop_
_atom_site_label
_atom_site_type_symbol
_atom_site_fract_x
_atom_site_fract_y
_atom_site_fract_z
Fe1 Fe 0.0000 0.0000 0.0000
Fe2 Fe 0.0000 0.3866 0.4652
Cl1 Cl 0.0600 0.4048 0.2577
Cl2 Cl 0.1100 0.8132 0.8690
Cl3 Cl 0.4800 0.9348 0.1372
Cl4 Cl 0.5333 0.2096 0.5601
Cl5 Cl 0.8890 0.6634 0.5103
Cl6 Cl 0.9223 0.2995 0.8981
```